# 1
Calculated X-ray powder pattern
Compound: CaInAu4
Radiation: Cu Kα (weighted mean of Kα1 and Kα2)
Structure: a structure optimized by DFT (GGA-PBE)
Kinematic intensities with the Lorentz-polarization factor, no thermal factor.

Atomic structure:
```
data_CaInAu4
_cell_length_a 5.1865
_cell_length_b 9.1769
_cell_length_c 5.1403
_cell_angle_alpha 90.00
_cell_angle_beta 90.00
_cell_angle_gamma 90.00
_symmetry_space_group_name_H-M 'C m m m'
_symmetry_Int_Tables_number 65
_symmetry_space_group_name_Hall '-C 2 2'
loop_
_atom_site_label
_atom_site_type_symbol
_atom_site_fract_x
_atom_site_fract_y
_atom_site_fract_z
Ca1 Ca 0.0000 0.0000 0.0000
In1 In 0.0000 0.5000 0.5000
Au1 Au 0.0000 0.1724 0.5000
Au2 Au 0.0000 0.3354 0.0000
```

Peak list (10 most intense, 10° ≤ 2θ ≤ 90°, by angle)
- (0 2 0), 19.3°, rel. 9
- (1 1 1), 26.3°, rel. 15
- (2 0 0), 34.6°, rel. 33
- (0 0 2), 34.9°, rel. 33
- (1 3 1), 38.4°, rel. 100
- (2 0 2), 50.0°, rel. 24
- (3 3 1), 64.5°, rel. 22
- (1 3 3), 64.9°, rel. 21
- (2 6 2), 82.2°, rel. 11
- (3 3 3), 86.0°, rel. 10

# 2
Calculated X-ray powder pattern
Compound: LaHg2Se2
Radiation: Cu Kα (weighted mean of Kα1 and Kα2)
Structure: a structure optimized by DFT (GGA-PBE)
Kinematic intensities with the Lorentz-polarization factor, no thermal factor.

Atomic structure:
```
data_LaHg2Se2
_cell_length_a 4.0204
_cell_length_b 4.0204
_cell_length_c 17.7973
_cell_angle_alpha 90.00
_cell_angle_beta 90.00
_cell_angle_gamma 90.00
_symmetry_space_group_name_H-M 'I 4/m m m'
_symmetry_Int_Tables_number 139
_symmetry_space_group_name_Hall '-I 4 2'
loop_
_atom_site_label
_atom_site_type_symbol
_atom_site_fract_x
_atom_site_fract_y
_atom_site_fract_z
La1 La 0.0000 0.0000 0.0000
Hg1 Hg 0.0000 0.5000 0.2500
Se1 Se 0.0000 0.0000 0.4174
```

Peak list (10 most intense, 10° ≤ 2θ ≤ 90°, by angle)
- (0 0 4), 20.0°, rel. 47
- (0 0 6), 30.1°, rel. 15
- (1 1 2), 33.1°, rel. 100
- (1 0 5), 33.6°, rel. 19
- (1 1 4), 37.5°, rel. 22
- (1 1 6), 44.1°, rel. 17
- (2 0 0), 45.1°, rel. 27
- (2 0 4), 49.8°, rel. 18
- (1 1 10), 61.5°, rel. 17
- (3 1 2), 75.5°, rel. 19

# 3
Calculated X-ray powder pattern
Compound: Ag8HgTe6
Radiation: Cu Kα (weighted mean of Kα1 and Kα2)
Structure: a structure optimized by DFT (GGA-PBE)
Kinematic intensities with the Lorentz-polarization factor, no thermal factor.

Atomic structure:
```
data_Ag8HgTe6
_cell_length_a 7.5992
_cell_length_b 7.6077
_cell_length_c 9.1495
_cell_angle_alpha 89.98
_cell_angle_beta 65.55
_cell_angle_gamma 60.04
_symmetry_space_group_name_H-M 'P -1'
_symmetry_Int_Tables_number 2
loop_
_symmetry_equiv_pos_as_xyz
'x,y,z'
'-x,-y,-z'
loop_
_atom_site_label
_atom_site_type_symbol
_atom_site_fract_x
_atom_site_fract_y
_atom_site_fract_z
Ag1 Ag 0.0471 0.3251 0.0730
Ag2 Ag 0.1474 0.9264 0.7776
Ag3 Ag 0.2524 0.6283 0.0731
Ag4 Ag 0.4442 0.8810 0.9270
Hg1 Hg 0.0000 0.5000 0.5000
Te1 Te 0.1831 0.0717 0.2817
Te2 Te 0.2088 0.2549 0.7186
Te3 Te 0.4648 0.4628 0.2815
```

Peak list (10 most intense, 10° ≤ 2θ ≤ 90°, by angle)
- (0 0 1), 11.0°, rel. 31
- (1 1 1), 15.3°, rel. 31
- (2 1 0), 25.9°, rel. 73
- (1 0 3), 29.3°, rel. 43
- (1 -1 3), 32.4°, rel. 60
- (2 0 3), 32.9°, rel. 38
- (3 2 1), 36.3°, rel. 43
- (2 -1 1), 36.9°, rel. 41
- (-1 1 2), 41.1°, rel. 100
- (1 2 -3), 41.2°, rel. 67

# 4
Calculated X-ray powder pattern
Compound: Pm4Al5Zn2
Radiation: Cu Kα (weighted mean of Kα1 and Kα2)
Structure: a structure optimized by DFT (GGA-PBE)
Kinematic intensities with the Lorentz-polarization factor, no thermal factor.

Atomic structure:
```
data_Pm4Al5Zn2
_cell_length_a 7.3999
_cell_length_b 3.6194
_cell_length_c 9.5589
_cell_angle_alpha 90.00
_cell_angle_beta 93.33
_cell_angle_gamma 90.00
_symmetry_space_group_name_H-M 'P 1 2/m 1'
_symmetry_Int_Tables_number 10
loop_
_symmetry_equiv_pos_as_xyz
'x,y,z'
'-x,-y,-z'
'-x,y,-z'
'x,-y,z'
loop_
_atom_site_label
_atom_site_type_symbol
_atom_site_fract_x
_atom_site_fract_y
_atom_site_fract_z
Pm1 Pm 0.1707 0.0000 0.3833
Pm2 Pm 0.2762 0.0000 0.9407
Al1 Al 0.1999 0.5000 0.6676
Al2 Al 0.4367 0.5000 0.2110
Al3 Al 0.5000 0.5000 0.5000
Zn1 Zn 0.0551 0.5000 0.1341
```

Peak list (10 most intense, 10° ≤ 2θ ≤ 90°, by angle)
- (1 0 0), 12.0°, rel. 42
- (1 0 -2), 21.6°, rel. 60
- (1 0 2), 22.8°, rel. 39
- (1 1 -2), 32.9°, rel. 96
- (1 1 2), 33.8°, rel. 81
- (2 1 0), 34.7°, rel. 83
- (3 0 -1), 37.2°, rel. 50
- (0 1 3), 37.7°, rel. 52
- (2 0 3), 38.4°, rel. 57
- (1 0 -4), 39.0°, rel. 100

# 5
Calculated X-ray powder pattern
Compound: HoTh2Ni6
Radiation: Cu Kα (weighted mean of Kα1 and Kα2)
Structure: a structure optimized by DFT (GGA-PBE)
Kinematic intensities with the Lorentz-polarization factor, no thermal factor.

Atomic structure:
```
data_HoTh2Ni6
_cell_length_a 7.0682
_cell_length_b 7.0682
_cell_length_c 3.7330
_cell_angle_alpha 90.00
_cell_angle_beta 90.00
_cell_angle_gamma 120.00
_symmetry_space_group_name_H-M 'P 6/m m m'
_symmetry_Int_Tables_number 191
_symmetry_space_group_name_Hall '-P 6 2'
loop_
_atom_site_label
_atom_site_type_symbol
_atom_site_fract_x
_atom_site_fract_y
_atom_site_fract_z
Ho1 Ho 0.0000 0.0000 0.0000
Th1 Th 0.3333 0.6667 0.0000
Ni1 Ni 0.0000 0.3324 0.5000
```

Peak list (10 most intense, 10° ≤ 2θ ≤ 90°, by angle)
- (1 1 0), 25.2°, rel. 30
- (1 1 1), 35.0°, rel. 100
- (3 0 0), 44.4°, rel. 40
- (0 0 2), 48.8°, rel. 10
- (1 1 2), 55.7°, rel. 7
- (2 2 1), 57.7°, rel. 24
- (3 0 2), 68.1°, rel. 22
- (4 1 1), 75.6°, rel. 21
- (3 3 0), 81.8°, rel. 6
- (1 1 3), 82.1°, rel. 9